# PaNbV2O6
Calculated X-ray diffraction stick pattern, Cu Ka. Input: a crystal structure in Alexandria, relaxed with GGA+U.
Neutral-atom scattering factors, no anomalous dispersion.

Cell and atoms:
a b c (Å): 5.898 5.898 5.898
angles (deg): 54.95 54.95 54.95
Positions (direct):
Pa1 0.000 0.000 0.000
Nb1 0.496 0.496 0.496
V1 0.303 0.303 0.303
V2 0.803 0.803 0.803
O1 0.096 0.410 0.694
O2 0.212 0.892 0.591
O3 0.410 0.694 0.096
O4 0.591 0.212 0.892
O5 0.694 0.096 0.410
O6 0.892 0.591 0.212

Main lines, low angle first (2θ = 15–90°):
- 2θ = 19.75°, intensity 30.3
- 2θ = 22.29°, intensity 100.0
- 2θ = 30.49°, intensity 84.6
- 2θ = 32.92°, intensity 80.4
- 2θ = 37.65°, intensity 19.5
- 2θ = 40.11°, intensity 20.1
- 2θ = 45.48°, intensity 32.4
- 2θ = 49.56°, intensity 62.8
- 2θ = 57.27°, intensity 31.1
- 2θ = 58.77°, intensity 26.3